Starting from a PBE+U-relaxed structure, the powder XRD pattern of MgSiNiO5 was calculated for copper Kα.

Atomic structure:
```
MgSiNiO5
1.0
5.258 0.000 0.000
-1.524 5.067 0.000
-1.696 -2.424 6.181
Mg Si Ni O
2 2 2 10
Direct
0.000 0.000 0.000 Mg
0.330 0.659 0.493 Mg
0.339 0.651 0.992 Si
0.988 0.004 0.492 Si
0.664 0.328 0.242 Ni
0.664 0.328 0.742 Ni
0.008 0.227 0.366 O
0.029 0.596 0.818 O
0.298 0.061 0.667 O
0.320 0.426 0.117 O
0.388 0.966 0.159 O
0.572 0.415 0.492 O
0.576 0.673 0.873 O
0.750 0.982 0.610 O
0.756 0.241 0.992 O
0.941 0.689 0.327 O
```

Largest 10 diffraction maxima, by angle, 10 to 80 degrees two-theta:
h k l  2θ (°)  I (rel.)
0 1 0  18.82  100
0 1 -2  28.15  95
1 0 -2  28.42  86
1 1 0  31.51  90
1 -2 0  35.51  51
2 -1 0  35.54  44
1 -1 2  35.76  58
-1 1 2  36.19  52
3 0 0  58.75  46
2 2 -4  67.68  29

=====

Starting from a PBE+U-relaxed structure, the powder XRD pattern of MgMo2Cl8O2 was calculated for copper Kα.

Atomic structure:
```
MgMo2Cl8O2
1.0
6.955 0.000 0.000
-1.940 7.001 0.000
-0.201 -1.971 7.084
Mg Mo Cl O
1 2 8 2
Direct
0.000 0.000 0.000 Mg
0.847 0.088 0.503 Mo
0.988 0.512 0.046 Mo
0.071 0.413 0.666 Cl
0.071 0.957 0.664 Cl
0.240 0.345 0.085 Cl
0.246 0.813 0.055 Cl
0.595 0.804 0.498 Cl
0.602 0.245 0.475 Cl
0.748 0.181 0.928 Cl
0.756 0.658 0.923 Cl
0.930 0.047 0.280 O
0.932 0.559 0.271 O
```

Largest 10 diffraction maxima, by angle, 10 to 80 degrees two-theta:
h k l  2θ (°)  I (rel.)
1 0 0  13.28  100
0 1 -1  15.52  37
1 -1 0  15.83  17
1 0 -1  17.32  20
0 1 1  20.47  24
1 1 -1  22.04  16
0 0 2  25.13  38
1 0 -2  27.29  27
2 -2 1  32.73  40
1 2 0  32.98  39